Structure and simulated powder X-ray diffraction pattern of Li11Ti12Ni4O32 (the GGA+U geometry in the Materials Project; Cu Kα (weighted mean of Kα1 and Kα2)).
Lines closer than 0.1° are merged.

Peak list (8 most intense, 2θ = 15–90°, in order of rising 2θ)
2θ = 18.24°, rel. 100.0, (0 0 3); 2θ = 35.33°, rel. 40.4, (4 0 1); 2θ = 36.96°, rel. 10.6, (0 0 6); 2θ = 42.94°, rel. 70.4, (4 0 4); 2θ = 56.78°, rel. 16.3, (4 0 7); 2θ = 62.29°, rel. 19.2, (4 4 0); 2θ = 62.40°, rel. 19.0, (0 4 8); 2θ = 65.52°, rel. 10.3, (4 4 3)

Atomic structure:
Unit cell a=11.9251 b=11.9251 c=14.5680 alpha=90.00 beta=90.00 gamma=120.00
Space group R32 (No. 155, hexagonal axes)
Symmetry-distinct sites (fractional):
1 Li 0.0000 0.0000 0.1266 [6 per cell]
2 Li 0.0000 0.2516 0.5000 [9 per cell]
3 Li 0.0000 0.4980 0.0000 [9 per cell]
4 Li 0.0000 0.7480 0.5000 [9 per cell]
5 Ti 0.0000 0.4980 0.5000 [9 per cell]
6 Ti 0.0000 0.7593 0.0000 [9 per cell]
7 Ti 0.0831 0.1688 0.6716 [18 per cell]
8 Ni 0.0000 0.0000 0.5000 [3 per cell]
9 Ni 0.0000 0.2455 0.0000 [9 per cell]
10 O 0.0000 0.0000 0.2609 [6 per cell]
11 O 0.0097 0.5126 0.2606 [18 per cell]
12 O 0.0134 0.2581 0.7476 [18 per cell]
13 O 0.0139 0.7533 0.7453 [18 per cell]
14 O 0.0764 0.1575 0.4074 [18 per cell]
15 O 0.0835 0.9022 0.9176 [18 per cell]

=====

Structure and simulated powder X-ray diffraction pattern of Li3TiNi4O8 (the GGA+U geometry in the Materials Project; Cu Kα (weighted mean of Kα1 and Kα2)).
Lines closer than 0.1° are merged.

Peak list (8 most intense, 2θ = 15–90°, in order of rising 2θ)
2θ = 18.35°, rel. 100.0, (0 0 1); 2θ = 35.60°, rel. 27.2, (2 0 -1); 2θ = 37.20°, rel. 29.2, (0 0 2); 2θ = 37.34°, rel. 28.7, (2 0 -2); 2θ = 43.17°, rel. 97.7, (2 0 0); 2θ = 43.56°, rel. 47.4, (-2 2 2); 2θ = 62.79°, rel. 27.0, (0 2 2); 2θ = 63.02°, rel. 26.4, (2 -4 0)

Atomic structure:
Unit cell a=5.8869 b=5.8978 c=5.9036 alpha=90.45 beta=119.57 gamma=119.70
Space group P-1 (No. 2)
Symmetry-distinct sites (fractional):
1 Li 0.0000 0.0000 0.0000 [1 per cell]
2 Li 0.0000 0.5000 0.0000 [1 per cell]
3 Li 0.5000 0.0000 0.0000 [1 per cell]
4 Ti 0.5000 0.5000 0.5000 [1 per cell]
5 Ni 0.0000 0.0000 0.5000 [1 per cell]
6 Ni 0.0000 0.5000 0.5000 [1 per cell]
7 Ni 0.5000 0.0000 0.5000 [1 per cell]
8 Ni 0.5000 0.5000 0.0000 [1 per cell]
9 O 0.9999 0.2656 0.7283 [2 per cell]
10 O 0.0216 0.2760 0.2763 [2 per cell]
11 O 0.4840 0.2536 0.2538 [2 per cell]
12 O 0.4971 0.2619 0.7352 [2 per cell]

=====

Structure and simulated powder X-ray diffraction pattern of Li2Ti3NiO8 (the GGA+U geometry in the Materials Project; Cu Kα (weighted mean of Kα1 and Kα2)).
Lines closer than 0.1° are merged.

Peak list (8 most intense, 2θ = 15–90°, in order of rising 2θ)
2θ = 18.25°, rel. 100.0, (1 1 1); 2θ = 35.35°, rel. 47.0, (3 1 1); 2θ = 42.96°, rel. 58.5, (4 0 0); 2θ = 47.03°, rel. 9.5, (3 3 1); 2θ = 56.80°, rel. 20.4, (5 1 1); 2θ = 62.37°, rel. 34.7, (4 4 0); 2θ = 65.58°, rel. 13.6, (5 3 1); 2θ = 78.72°, rel. 8.7, (4 4 4)

Atomic structure:
Unit cell a=8.4216 b=8.4216 c=8.4216 alpha=90.00 beta=90.00 gamma=90.00
Space group P4_332 (No. 212)
Symmetry-distinct sites (fractional):
1 Li 0.0012 0.4988 0.5012 [8 per cell]
2 Ti 0.1204 0.6250 0.1296 [12 per cell]
3 Ni 0.1250 0.8750 0.3750 [4 per cell]
4 O 0.1073 0.1233 0.3907 [24 per cell]
5 O 0.1111 0.6111 0.8889 [8 per cell]

=====

Structure and simulated powder X-ray diffraction pattern of Li4Ti5Ni3O16 (the GGA+U geometry in the Materials Project; Cu Kα (weighted mean of Kα1 and Kα2)).
Lines closer than 0.1° are merged.

Peak list (8 most intense, 2θ = 15–90°, in order of rising 2θ)
2θ = 18.57°, rel. 100.0, (0 0 2); 2θ = 19.78°, rel. 68.7, (2 0 1); 2θ = 19.93°, rel. 42.7, (1 1 1); 2θ = 35.43°, rel. 30.6, (3 1 -2); 2θ = 36.06°, rel. 33.8, (4 0 -1); 2θ = 46.04°, rel. 29.8, (2 2 3); 2θ = 61.09°, rel. 29.7, (2 2 5); 2θ = 63.00°, rel. 37.1, (6 2 0)

Atomic structure:
Unit cell a=10.2714 b=5.8246 c=9.5579 alpha=90.00 beta=91.35 gamma=90.00
Space group Cm (No. 8)
Symmetry-distinct sites (fractional):
1 Li 0.0000 0.0000 0.0000 [2 per cell]
2 Li 0.0103 0.0000 0.5025 [2 per cell]
3 Li 0.1619 0.5000 0.0927 [2 per cell]
4 Li 0.3399 0.0000 0.5981 [2 per cell]
5 Ti 0.1610 0.5000 0.4978 [2 per cell]
6 Ti 0.3278 0.5000 0.7645 [2 per cell]
7 Ti 0.3343 0.0000 0.9933 [2 per cell]
8 Ti 0.4042 0.2472 0.2734 [4 per cell]
9 Ni 0.0863 0.2533 0.7839 [4 per cell]
10 Ni 0.1694 0.0000 0.2855 [2 per cell]
11 O 0.0061 0.0000 0.6927 [2 per cell]
12 O 0.0269 0.5000 0.6584 [2 per cell]
13 O 0.0816 0.2589 0.4043 [4 per cell]
14 O 0.1626 0.0000 0.9003 [2 per cell]
15 O 0.1650 0.5000 0.8818 [2 per cell]
16 O 0.2500 0.2767 0.6520 [4 per cell]
17 O 0.2636 0.2312 0.1509 [4 per cell]
18 O 0.3334 0.5000 0.3965 [2 per cell]
19 O 0.3454 0.0000 0.3919 [2 per cell]
20 O 0.4105 0.2484 0.9020 [4 per cell]
21 O 0.4795 0.0000 0.1573 [2 per cell]
22 O 0.4951 0.5000 0.1898 [2 per cell]

=====

Structure and simulated powder X-ray diffraction pattern of Li8TiNi7O16 (the GGA+U geometry in the Materials Project; Cu Kα (weighted mean of Kα1 and Kα2)).
Lines closer than 0.1° are merged.

Peak list (8 most intense, 2θ = 15–90°, in order of rising 2θ)
2θ = 18.59°, rel. 100.0, (1 1 0); 2θ = 36.12°, rel. 14.7, (1 0 3); 2θ = 36.33°, rel. 14.6, (0 2 2); 2θ = 36.47°, rel. 13.8, (2 -1 1); 2θ = 37.96°, rel. 15.6, (1 -2 1); 2θ = 43.74°, rel. 25.1, (0 1 -3); 2θ = 44.04°, rel. 24.7, (1 3 2); 2θ = 44.32°, rel. 24.2, (3 0 1)

Atomic structure:
Unit cell a=6.4788 b=6.5164 c=7.7044 alpha=75.64 beta=65.20 gamma=72.09
Space group P1 (No. 1)
Symmetry-distinct sites (fractional):
1 Li 0.0000 0.0000 0.0000 [1 per cell]
2 Li 0.1171 0.8597 0.6300 [1 per cell]
3 Li 0.2347 0.7437 0.2454 [1 per cell]
4 Li 0.3684 0.6203 0.8734 [1 per cell]
5 Li 0.5003 0.4810 0.5060 [1 per cell]
6 Li 0.6225 0.3777 0.1230 [1 per cell]
7 Li 0.7451 0.2422 0.7602 [1 per cell]
8 Li 0.8806 0.1103 0.3846 [1 per cell]
9 Ti 0.5573 0.9341 0.3053 [1 per cell]
10 Ni 0.0550 0.4292 0.8166 [1 per cell]
11 Ni 0.1809 0.3039 0.4426 [1 per cell]
12 Ni 0.3082 0.1816 0.0637 [1 per cell]
13 Ni 0.4347 0.0548 0.6901 [1 per cell]
14 Ni 0.6845 0.8022 0.9380 [1 per cell]
15 Ni 0.8076 0.6782 0.5675 [1 per cell]
16 Ni 0.9336 0.5548 0.1910 [1 per cell]
17 O 0.0196 0.6866 0.9088 [1 per cell]
18 O 0.0974 0.1677 0.7228 [1 per cell]
19 O 0.1246 0.5759 0.5597 [1 per cell]
20 O 0.2307 0.0115 0.3466 [1 per cell]
21 O 0.2516 0.4601 0.1687 [1 per cell]
22 O 0.3547 0.9129 0.9483 [1 per cell]
23 O 0.3774 0.3345 0.7832 [1 per cell]
24 O 0.4847 0.7815 0.5870 [1 per cell]
25 O 0.5228 0.1896 0.4234 [1 per cell]
26 O 0.6043 0.6525 0.2250 [1 per cell]
27 O 0.6475 0.0816 0.0484 [1 per cell]
28 O 0.7372 0.5178 0.8451 [1 per cell]
29 O 0.7696 0.9426 0.6590 [1 per cell]
30 O 0.8448 0.4191 0.4703 [1 per cell]
31 O 0.8925 0.8320 0.2786 [1 per cell]
32 O 0.9736 0.2962 0.0796 [1 per cell]

=====

Structure and simulated powder X-ray diffraction pattern of Li3Ti2Ni2O8 (the GGA+U geometry in the Materials Project; Cu Kα (weighted mean of Kα1 and Kα2)).
Lines closer than 0.1° are merged.

Peak list (8 most intense, 2θ = 15–90°, in order of rising 2θ)
2θ = 18.26°, rel. 31.7, (0 0 1); 2θ = 18.45°, rel. 100.0, (1 1 0); 2θ = 35.47°, rel. 13.6, (1 1 -2); 2θ = 35.68°, rel. 32.6, (3 1 0); 2θ = 37.38°, rel. 14.1, (4 0 -2); 2θ = 43.33°, rel. 92.1, (4 0 0); 2θ = 62.74°, rel. 16.4, (2 2 2); 2θ = 63.19°, rel. 24.7, (6 2 -2)

Atomic structure:
Unit cell a=10.1988 b=5.8827 c=5.9353 alpha=90.00 beta=125.07 gamma=90.00
Space group C2/m (No. 12)
Symmetry-distinct sites (fractional):
1 Li 0.0000 0.0000 0.0000 [2 per cell]
2 Li 0.2500 0.2500 0.5000 [4 per cell]
3 Ti 0.2500 0.2500 0.0000 [4 per cell]
4 Ni 0.0000 0.5000 0.0000 [2 per cell]
5 Ni 0.0000 0.5000 0.5000 [2 per cell]
6 O 0.0125 0.2736 0.7820 [8 per cell]
7 O 0.2441 0.0000 0.7716 [4 per cell]
8 O 0.2490 0.0000 0.2289 [4 per cell]

=====

Structure and simulated powder X-ray diffraction pattern of Li4Ti3V2Ni3O16 (the GGA+U geometry in the Materials Project; Cu Kα (weighted mean of Kα1 and Kα2)).
Lines closer than 0.1° are merged.

Peak list (8 most intense, 2θ = 15–90°, in order of rising 2θ)
2θ = 18.52°, rel. 56.2, (0 0 2); 2θ = 19.65°, rel. 100.0, (2 0 1); 2θ = 25.46°, rel. 30.2, (1 1 -2); 2θ = 33.05°, rel. 40.2, (2 0 3); 2θ = 35.63°, rel. 28.0, (3 1 2); 2θ = 36.36°, rel. 38.6, (2 2 1); 2θ = 45.43°, rel. 42.0, (2 2 -3); 2θ = 60.36°, rel. 27.9, (2 2 -5)

Atomic structure:
Unit cell a=10.2798 b=5.8977 c=9.5795 alpha=90.00 beta=90.09 gamma=90.00
Space group Cm (No. 8)
Symmetry-distinct sites (fractional):
1 Li 0.0000 0.0000 0.0000 [2 per cell]
2 Li 0.0046 0.0000 0.5110 [2 per cell]
3 Li 0.1624 0.5000 0.0906 [2 per cell]
4 Li 0.3310 0.0000 0.5932 [2 per cell]
5 Ti 0.3165 0.5000 0.7595 [2 per cell]
6 Ti 0.4007 0.2486 0.2735 [4 per cell]
7 V 0.1430 0.5000 0.5095 [2 per cell]
8 V 0.3326 0.0000 0.9935 [2 per cell]
9 Ni 0.0857 0.2547 0.7879 [4 per cell]
10 Ni 0.1693 0.0000 0.2877 [2 per cell]
11 O 0.0203 0.5000 0.6408 [2 per cell]
12 O 0.0865 0.2635 0.4076 [4 per cell]
13 O 0.1765 0.0000 0.9133 [2 per cell]
14 O 0.1778 0.5000 0.8905 [2 per cell]
15 O 0.2437 0.2806 0.6435 [4 per cell]
16 O 0.2627 0.2263 0.1522 [4 per cell]
17 O 0.3339 0.5000 0.3950 [2 per cell]
18 O 0.3439 0.0000 0.3918 [2 per cell]
19 O 0.4097 0.2337 0.9101 [4 per cell]
20 O 0.4786 0.0000 0.1589 [2 per cell]
21 O 0.4925 0.5000 0.7018 [2 per cell]
22 O 0.4975 0.5000 0.1920 [2 per cell]

=====

Structure and simulated powder X-ray diffraction pattern of Li4Ti2V3Ni3O16 (the GGA+U geometry in the Materials Project; Cu Kα (weighted mean of Kα1 and Kα2)).
Lines closer than 0.1° are merged.

Peak list (8 most intense, 2θ = 15–90°, in order of rising 2θ)
2θ = 18.47°, rel. 100.0, (0 0 2); 2θ = 19.73°, rel. 78.4, (1 0 -1); 2θ = 33.14°, rel. 32.4, (0 1 3); 2θ = 35.88°, rel. 39.5, (-1 2 2); 2θ = 36.47°, rel. 37.9, (0 2 1); 2θ = 36.59°, rel. 30.3, (-2 2 1); 2θ = 45.65°, rel. 35.8, (-2 2 3); 2θ = 63.06°, rel. 32.0, (2 2 0)

Atomic structure:
Unit cell a=5.8640 b=5.8926 c=9.6086 alpha=90.50 beta=90.04 gamma=119.75
Space group P1 (No. 1)
Symmetry-distinct sites (fractional):
1 Li 0.0000 0.0000 0.0000 [1 per cell]
2 Li 0.0077 0.0062 0.5093 [1 per cell]
3 Li 0.3434 0.6873 0.6020 [1 per cell]
4 Li 0.6625 0.3414 0.0935 [1 per cell]
5 Ti 0.3369 0.6689 0.9877 [1 per cell]
6 Ti 0.6425 0.2917 0.5080 [1 per cell]
7 V 0.1697 0.8159 0.2711 [1 per cell]
8 V 0.6627 0.8174 0.2855 [1 per cell]
9 V 0.8250 0.6436 0.7631 [1 per cell]
10 Ni 0.1716 0.3407 0.2923 [1 per cell]
11 Ni 0.3407 0.1733 0.7898 [1 per cell]
12 Ni 0.8325 0.1730 0.7900 [1 per cell]
13 O 0.0078 0.9913 0.1928 [1 per cell]
14 O 0.0346 0.5360 0.1627 [1 per cell]
15 O 0.1653 0.8244 0.9030 [1 per cell]
16 O 0.1719 0.3423 0.9117 [1 per cell]
17 O 0.3333 0.6973 0.3954 [1 per cell]
18 O 0.3366 0.1667 0.4050 [1 per cell]
19 O 0.4706 0.9753 0.1673 [1 per cell]
20 O 0.5012 0.5499 0.1635 [1 per cell]
21 O 0.5268 0.0529 0.6477 [1 per cell]
22 O 0.5373 0.5088 0.6530 [1 per cell]
23 O 0.6597 0.8274 0.9035 [1 per cell]
24 O 0.6898 0.3805 0.8917 [1 per cell]
25 O 0.8204 0.1519 0.4001 [1 per cell]
26 O 0.8459 0.6780 0.3938 [1 per cell]
27 O 0.9736 0.5070 0.6540 [1 per cell]
28 O 0.9886 0.9774 0.6984 [1 per cell]